Er3Al2: theoretical X-ray powder pattern (Cu Kα, 1.54184 Å), based on a DFT-relaxed cell (PBE, the Materials Project).
Neutral-atom scattering factors, no anomalous dispersion.

Cell and atoms:
```
data_Er3Al2
_chemical_formula_sum 'Er12 Al8'
_symmetry_space_group_name_H-M 'P 42/m n m'
_symmetry_Int_Tables_number 136
_symmetry_space_group_name_Hall '-P 4n 2n'
_cell_length_a 8.159
_cell_length_b 8.159
_cell_length_c 7.537
_cell_angle_alpha 90.00
_cell_angle_beta 90.00
_cell_angle_gamma 90.00
loop_
_atom_site_label
_atom_site_fract_x
_atom_site_fract_y
_atom_site_fract_z
_atom_site_occupancy
Er1 0.000 0.500 0.250 1
Er2 0.151 0.151 0.000 1
Er3 0.201 0.201 0.500 1
Al1 0.119 0.881 0.303 1
```

Principal peaks in the range 10° ≤ 2θ ≤ 90°, in order of rising 2θ:
Position (°2θ)  I/Imax  hkl
24.39  52  2 1 0
28.29  51  1 1 2
31.00  38  2 2 0
32.34  100  2 0 2
34.21  83  2 1 2
34.77  67  3 1 0
36.82  23  3 1 1
52.21  21  4 1 2
53.49  31  3 3 2
60.88  24  3 1 4


ErAl3: theoretical X-ray powder pattern (Cu Kα, 1.54184 Å), based on a DFT-relaxed cell (PBE, the Materials Project).
Neutral-atom scattering factors, no anomalous dispersion.

Cell and atoms:
```
data_ErAl3
_chemical_formula_sum 'Er2 Al6'
_symmetry_space_group_name_H-M 'P 63/m m c'
_symmetry_Int_Tables_number 194
_symmetry_space_group_name_Hall '-P 6c 2c'
_cell_length_a 6.2181
_cell_length_b 6.2181
_cell_length_c 4.6280
_cell_angle_alpha 90.00
_cell_angle_beta 90.00
_cell_angle_gamma 120.00
loop_
_atom_site_label
_atom_site_fract_x
_atom_site_fract_y
_atom_site_fract_z
_atom_site_occupancy
Er1 0.3333 0.6667 0.2500 1
Al1 0.1494 0.2987 0.7500 1
```

Principal peaks in the range 10° ≤ 2θ ≤ 90°, in order of rising 2θ:
Position (°2θ)  I/Imax  hkl
16.46  29  1 0 0
25.38  100  1 0 1
28.71  47  1 1 0
33.28  24  2 0 0
38.69  94  2 0 1
38.92  21  0 0 2
48.88  27  2 1 1
49.08  22  1 1 2
59.46  17  2 2 0
73.37  18  2 2 2


ErAl3: theoretical X-ray powder pattern (Cu Kα, 1.54184 Å), based on a DFT-relaxed cell (PBE, the Materials Project).
Neutral-atom scattering factors, no anomalous dispersion.

Cell and atoms:
```
data_ErAl3
_chemical_formula_sum 'Er1 Al3'
_symmetry_space_group_name_H-M 'P m -3 m'
_symmetry_Int_Tables_number 221
_symmetry_space_group_name_Hall '-P 4 2 3'
_cell_length_a 4.233
_cell_length_b 4.233
_cell_length_c 4.233
_cell_angle_alpha 90.00
_cell_angle_beta 90.00
_cell_angle_gamma 90.00
loop_
_atom_site_label
_atom_site_fract_x
_atom_site_fract_y
_atom_site_fract_z
_atom_site_occupancy
Er1 0.000 0.000 0.000 1
Al1 0.000 0.500 0.500 1
```

Principal peaks in the range 10° ≤ 2θ ≤ 90°, in order of rising 2θ:
Position (°2θ)  I/Imax  hkl
20.98  96  1 0 0
29.85  82  1 1 0
36.77  100  1 1 1
42.72  49  2 0 0
48.06  45  2 1 0
52.98  34  2 1 1
62.00  33  2 2 0
66.23  22  3 0 0
74.31  38  3 1 1
85.90  18  3 2 1